# Rb3NbI8
Simulated X-ray powder pattern, λ = 1.5418 Å (Cu Kα). Input: a DFT-relaxed cell (PBE, Alexandria).
Kinematic intensities with the Lorentz-polarization factor, no thermal factor.

Cell and atoms:
a = 11.2150 Å, b = 11.2150 Å, c = 9.9376 Å
α = 90.00°, β = 90.00°, γ = 120.00°
Sites, in units of the cell vectors:
1 Rb 0.1474 0.2948 0.0000
2 Rb 0.1474 0.8526 0.0000
3 Rb 0.2948 0.1474 0.5000
4 Rb 0.7052 0.8526 0.0000
5 Rb 0.8526 0.1474 0.5000
6 Rb 0.8526 0.7052 0.5000
7 Nb 0.3333 0.6667 0.3800
8 Nb 0.6667 0.3333 0.8800
9 I 0.0000 0.0000 0.2539
10 I 0.0000 0.0000 0.7539
11 I 0.0618 0.5309 0.3090
12 I 0.2193 0.4386 0.5881
13 I 0.2193 0.7807 0.5881
14 I 0.3333 0.6667 0.0591
15 I 0.4386 0.2193 0.0881
16 I 0.4691 0.5309 0.3090
17 I 0.4691 0.9382 0.3090
18 I 0.5309 0.0618 0.8091
19 I 0.5309 0.4691 0.8091
20 I 0.5614 0.7807 0.5881
21 I 0.6667 0.3333 0.5591
22 I 0.7807 0.2193 0.0881
23 I 0.7807 0.5614 0.0881
24 I 0.9382 0.4691 0.8091

The 10 most intense peaks (2θ from 5° to 70°), in order of rising 2θ:
- 12.74 deg, d 6.946, rel. 20
- 20.35 deg, d 4.363, rel. 15
- 25.65 deg, d 3.473, rel. 100
- 25.87 deg, d 3.444, rel. 25
- 29.01 deg, d 3.078, rel. 39
- 30.27 deg, d 2.953, rel. 19
- 31.92 deg, d 2.804, rel. 39
- 32.73 deg, d 2.737, rel. 14
- 34.50 deg, d 2.600, rel. 16
- 48.72 deg, d 1.869, rel. 14


# Rb2SrNbI6
Simulated X-ray powder pattern, λ = 1.5418 Å (Cu Kα). Input: a DFT-relaxed cell (PBE, Alexandria).
Kinematic intensities with the Lorentz-polarization factor, no thermal factor.

Cell and atoms:
a = 8.6623 Å, b = 8.6623 Å, c = 8.6623 Å
α = 60.00°, β = 60.00°, γ = 60.00°
Sites, in units of the cell vectors:
1 Rb 0.2500 0.2500 0.2500
2 Rb 0.7500 0.7500 0.7500
3 Sr 0.0000 0.0000 0.0000
4 Nb 0.5000 0.5000 0.5000
5 I 0.2624 0.2624 0.7376
6 I 0.2624 0.7376 0.2624
7 I 0.2624 0.7376 0.7376
8 I 0.7376 0.2624 0.2624
9 I 0.7376 0.2624 0.7376
10 I 0.7376 0.7376 0.2624

The 10 most intense peaks (2θ from 5° to 70°), in order of rising 2θ:
- 14.46 deg, d 6.125, rel. 32
- 25.18 deg, d 3.536, rel. 86
- 29.16 deg, d 3.063, rel. 100
- 32.69 deg, d 2.739, rel. 16
- 41.71 deg, d 2.166, rel. 73
- 49.35 deg, d 1.847, rel. 38
- 51.70 deg, d 1.768, rel. 25
- 60.46 deg, d 1.531, rel. 11
- 66.54 deg, d 1.405, rel. 14
- 68.51 deg, d 1.370, rel. 31


# Rb2TaNbI6
Simulated X-ray powder pattern, λ = 1.5418 Å (Cu Kα). Input: a DFT-relaxed cell (PBE, Alexandria).
Kinematic intensities with the Lorentz-polarization factor, no thermal factor.

Cell and atoms:
a = 8.2814 Å, b = 8.2814 Å, c = 8.2814 Å
α = 60.00°, β = 60.00°, γ = 60.00°
Sites, in units of the cell vectors:
1 Rb 0.2500 0.2500 0.2500
2 Rb 0.7500 0.7500 0.7500
3 Ta 0.0000 0.0000 0.0000
4 Nb 0.5000 0.5000 0.5000
5 I 0.2476 0.2476 0.7524
6 I 0.2476 0.7524 0.2476
7 I 0.2476 0.7524 0.7524
8 I 0.7524 0.2476 0.2476
9 I 0.7524 0.2476 0.7524
10 I 0.7524 0.7524 0.2476

The 10 most intense peaks (2θ from 5° to 70°), in order of rising 2θ:
- 15.13 deg, d 5.856, rel. 47
- 21.46 deg, d 4.141, rel. 13
- 26.36 deg, d 3.381, rel. 58
- 30.53 deg, d 2.928, rel. 100
- 34.24 deg, d 2.619, rel. 25
- 43.72 deg, d 2.070, rel. 74
- 46.53 deg, d 1.952, rel. 13
- 51.78 deg, d 1.766, rel. 26
- 54.26 deg, d 1.690, rel. 26
- 63.55 deg, d 1.464, rel. 12


# Nb3SeI7
Simulated X-ray powder pattern, λ = 1.5418 Å (Cu Kα). Input: a DFT-relaxed cell (PBE, Alexandria).
Kinematic intensities with the Lorentz-polarization factor, no thermal factor.

Cell and atoms:
a = 7.6796 Å, b = 7.6796 Å, c = 9.8304 Å
α = 125.75°, β = 125.75°, γ = 59.97°
Sites, in units of the cell vectors:
1 Nb 0.0000 0.0000 0.0000
2 Nb 0.0003 0.3933 0.0003
3 Nb 0.3933 0.0003 0.0003
4 Se 0.0032 0.0032 0.7429
5 I 0.0291 0.5221 0.7860
6 I 0.4273 0.4273 0.2579
7 I 0.4272 0.9230 0.2569
8 I 0.5221 0.0291 0.7860
9 I 0.5222 0.5222 0.7846
10 I 0.8968 0.8968 0.1987
11 I 0.9230 0.4272 0.2569

The 10 most intense peaks (2θ from 5° to 70°), in order of rising 2θ:
- 12.20 deg, d 7.257, rel. 30
- 24.53 deg, d 3.628, rel. 15
- 29.55 deg, d 3.023, rel. 100
- 36.64 deg, d 2.452, rel. 30
- 36.71 deg, d 2.448, rel. 9
- 46.36 deg, d 1.959, rel. 10
- 46.46 deg, d 1.955, rel. 17
- 47.36 deg, d 1.920, rel. 23
- 54.02 deg, d 1.698, rel. 10
- 56.81 deg, d 1.620, rel. 15


# TaNbI
Simulated X-ray powder pattern, λ = 1.5418 Å (Cu Kα). Input: a DFT-relaxed cell (PBE, Alexandria).
Kinematic intensities with the Lorentz-polarization factor, no thermal factor.

Cell and atoms:
a = 23.6499 Å, b = 3.5063 Å, c = 3.5075 Å
α = 90.00°, β = 90.33°, γ = 90.00°
Sites, in units of the cell vectors:
1 Ta 0.1564 0.0000 0.2816
2 Ta 0.3436 0.5000 0.7184
3 Ta 0.6564 0.5000 0.2816
4 Ta 0.8436 0.0000 0.7184
5 Nb 0.2165 0.5000 0.7518
6 Nb 0.2835 0.0000 0.2482
7 Nb 0.7165 0.0000 0.7518
8 Nb 0.7835 0.5000 0.2482
9 I 0.0830 0.5000 0.7492
10 I 0.4170 0.0000 0.2508
11 I 0.5830 0.0000 0.7492
12 I 0.9170 0.5000 0.2508

The 10 most intense peaks (2θ from 5° to 70°), in order of rising 2θ:
- 7.48 deg, d 11.825, rel. 93
- 14.98 deg, d 5.912, rel. 36
- 27.85 deg, d 3.204, rel. 16
- 29.69 deg, d 3.009, rel. 17
- 36.43 deg, d 2.466, rel. 100
- 36.95 deg, d 2.433, rel. 65
- 39.76 deg, d 2.267, rel. 31
- 40.00 deg, d 2.254, rel. 30
- 43.02 deg, d 2.103, rel. 19
- 52.17 deg, d 1.753, rel. 30